The following is a computed X-ray diffraction stick pattern of K5La4Si4O16F. It was derived from DFT lattice parameters and positions (PBE), using Cu Kα, 1.54184 Å.

Structural model:
```
data_K5La4Si4O16F
_cell_length_a 12.6089
_cell_length_b 12.6089
_cell_length_c 5.6023
_cell_angle_alpha 90.00
_cell_angle_beta 90.00
_cell_angle_gamma 90.00
_symmetry_space_group_name_H-M 'I -4'
_symmetry_Int_Tables_number 82
loop_
_symmetry_equiv_pos_as_xyz
'x,y,z'
'y,-x,-z'
'-x,-y,z'
'-y,x,-z'
'x+1/2,y+1/2,z+1/2'
'y+1/2,-x+1/2,-z+1/2'
'-x+1/2,-y+1/2,z+1/2'
'-y+1/2,x+1/2,-z+1/2'
loop_
_atom_site_label
_atom_site_type_symbol
_atom_site_fract_x
_atom_site_fract_y
_atom_site_fract_z
K1 K 0.0000 0.0000 0.0000
K2 K 0.0937 0.6032 0.5000
La1 La 0.1171 0.1852 0.5166
Si1 Si 0.1044 0.7542 0.0109
O1 O 0.0354 0.7934 0.2464
O2 O 0.0526 0.8029 0.7630
O3 O 0.1157 0.6238 0.9956
O4 O 0.2014 0.2258 0.9396
F1 F 0.0000 0.0000 0.5000
```

Largest 10 diffraction maxima, by intensity, 10 to 80 degrees two-theta:
2θ/deg	Rel. int.
30.12	100
22.34	54
17.32	51
26.51	50
31.95	44
33.38	40
45.65	36
46.72	30
36.33	29
31.74	28


The following is a computed X-ray diffraction stick pattern of KLiF3. It was derived from DFT lattice parameters and positions (PBE), using Cu Kα, 1.54184 Å.

Structural model:
```
data_KLiF3
_cell_length_a 6.2288
_cell_length_b 4.2063
_cell_length_c 6.8117
_cell_angle_alpha 90.00
_cell_angle_beta 115.06
_cell_angle_gamma 90.00
_symmetry_space_group_name_H-M 'P 1 21/m 1'
_symmetry_Int_Tables_number 11
loop_
_symmetry_equiv_pos_as_xyz
'x,y,z'
'-x,-y,-z'
'-x,y+1/2,-z'
'x,-y+1/2,z'
loop_
_atom_site_label
_atom_site_type_symbol
_atom_site_fract_x
_atom_site_fract_y
_atom_site_fract_z
K1 K 0.1398 0.2500 0.3222
Li1 Li 0.4259 0.7500 0.8560
F1 F 0.2558 0.7500 0.5703
F2 F 0.2811 0.9997 0.0149
```

Largest 10 diffraction maxima, by intensity, 10 to 80 degrees two-theta:
2θ/deg	Rel. int.
25.63	100
32.71	61
45.54	52
52.51	44
31.72	43
25.51	38
44.01	31
39.26	28
36.10	28
38.42	27